This entry pairs a crystal structure of H6PbCI3N with its calculated XRD peak list. Radiation: Cu Kα. Structure: DFT lattice parameters and positions (GGA-PBE).
Peak positions follow from Bragg's law for the DFT cell and can differ from measured ones.

The 12 most intense peaks (2θ from 10° to 80°), most intense first:
2θ 14.10, d 6.281, rel. 100; 2θ 13.66, d 6.482, rel. 64; 2θ 28.42, d 3.141, rel. 62; 2θ 27.52, d 3.241, rel. 53; 2θ 39.97, d 2.255, rel. 45; 2θ 30.82, d 2.901, rel. 41; 2θ 31.05, d 2.881, rel. 37; 2θ 41.79, d 2.161, rel. 37; 2θ 43.39, d 2.086, rel. 30; 2θ 32.86, d 2.726, rel. 27; 2θ 26.76, d 3.331, rel. 22; 2θ 31.65, d 2.827, rel. 20

Cell and atoms:
```
data_H6PbCI3N
_space_group_name_H-M_alt 'P n m a'
_space_group_IT_number 62
_space_group_name_Hall '-P 2ac 2n'
_cell_length_a 8.5567
_cell_length_b 12.9636
_cell_length_c 9.2505
_cell_angle_alpha 90.00
_cell_angle_beta 90.00
_cell_angle_gamma 90.00
loop_
_atom_site_label
_atom_site_type_symbol
_atom_site_fract_x
_atom_site_fract_y
_atom_site_fract_z
H1 H 0.0052 0.1808 0.1201
H2 H 0.0057 0.1854 0.8570
H3 H 0.1598 0.7500 0.9497
H4 H 0.1619 0.2500 0.9214
Pb1 Pb 0.0000 0.0000 0.5000
C1 C 0.0324 0.7500 0.9378
I1 I 0.0377 0.7500 0.5126
I2 I 0.1839 0.5221 0.1928
N1 N 0.0404 0.2500 0.9151
```

***

This entry pairs a crystal structure of Nd12Os5C15 with its calculated XRD peak list. Radiation: Cu Kα. Structure: DFT lattice parameters and positions (GGA-PBE).
Peak positions follow from Bragg's law for the DFT cell and can differ from measured ones.

The 12 most intense peaks (2θ from 10° to 80°), most intense first:
2θ 29.94, d 2.985, rel. 100; 2θ 33.96, d 2.640, rel. 41; 2θ 33.52, d 2.673, rel. 40; 2θ 48.46, d 1.878, rel. 30; 2θ 32.83, d 2.728, rel. 24; 2θ 36.78, d 2.444, rel. 18; 2θ 57.73, d 1.597, rel. 16; 2θ 19.04, d 4.661, rel. 10; 2θ 38.02, d 2.367, rel. 9; 2θ 66.78, d 1.401, rel. 8; 2θ 43.58, d 2.077, rel. 8; 2θ 56.07, d 1.640, rel. 8

Cell and atoms:
```
data_Nd12Os5C15
_space_group_name_H-M_alt 'P -6 2 m'
_space_group_IT_number 189
_space_group_name_Hall 'P -6 -2'
_cell_length_a 10.9902
_cell_length_b 10.9902
_cell_length_c 5.3463
_cell_angle_alpha 90.00
_cell_angle_beta 90.00
_cell_angle_gamma 120.00
loop_
_atom_site_label
_atom_site_type_symbol
_atom_site_fract_x
_atom_site_fract_y
_atom_site_fract_z
Nd1 Nd 0.0000 0.4270 0.0000
Nd2 Nd 0.0000 0.7935 0.0000
Nd3 Nd 0.1837 0.7261 0.5000
Os1 Os 0.0000 0.1600 0.5000
Os2 Os 0.3333 0.6667 0.0000
C1 C 0.0000 0.3310 0.5000
C2 C 0.0000 0.4524 0.5000
C3 C 0.0000 0.7992 0.5000
C4 C 0.1866 0.7125 0.0000
```